Structure and calculated powder XRD pattern of Sm3DySb3 (a GGA-PBE-relaxed structure; CuKα).
Neutral-atom scattering factors, no anomalous dispersion.

Top 12 peaks for 5 to 70 degrees two-theta, low angle first:
2θ 26.98, rel. 4
2θ 30.24, rel. 100
2θ 35.95, rel. 67
2θ 43.29, rel. 10
2θ 45.52, rel. 9
2θ 47.67, rel. 18
2θ 49.74, rel. 24
2θ 61.12, rel. 25
2θ 62.89, rel. 12
2θ 64.63, rel. 14
2θ 68.03, rel. 4
2θ 69.70, rel. 6

Structure:
```
Sm3DySb3
1.0
9.346 0.000 0.000
0.000 9.346 0.000
0.000 0.000 9.346
Sm Dy Sb
12 4 12
Cartesian
0.644 4.029 5.317
1.660 7.686 3.013
1.671 1.671 1.671
3.002 7.675 6.345
3.013 1.660 7.686
4.029 5.317 0.644
5.317 0.644 4.029
6.333 6.333 6.333
6.345 3.002 7.675
7.675 6.345 3.002
7.686 3.013 1.660
8.702 8.702 8.702
0.674 5.347 8.672
3.999 3.999 3.999
5.347 8.672 0.674
8.672 0.674 5.347
0.010 2.370 8.159
1.187 4.683 2.303
2.303 1.187 4.683
2.370 8.159 0.010
3.486 4.663 6.977
4.663 6.977 3.486
4.683 2.303 1.187
5.860 9.336 7.043
6.977 3.486 4.663
7.043 5.860 9.336
8.159 0.010 2.370
9.336 7.043 5.860
```